[1]
For Cr2Fe3TeP6O24, DFT lattice parameters and positions (GGA+U) gives the simulated XRD peak list in this record (copper Kα).

Most intense lines, 2θ = 10–90°, in order of rising 2θ:
d_spacing  2θ (°)  Rel. int.
4.375  20.30  100.0
4.290  20.70  22.6
3.701  24.05  91.8
2.719  32.95  82.4
2.526  35.54  48.1
2.043  44.34  14.8
1.926  47.19  25.2
1.850  49.24  32.7
1.654  55.57  26.0
1.493  62.19  26.7

Atomic structure:
```
data_Cr2Fe3TeP6O24
_chemical_formula_sum 'Cr2 Fe3 Te1 P6 O24'
_symmetry_space_group_name_H-M 'P 1'
_symmetry_Int_Tables_number 1
_symmetry_space_group_name_Hall 'P 1'
_cell_length_a 8.5834
_cell_length_b 8.5834
_cell_length_c 8.5834
_cell_angle_alpha 61.29
_cell_angle_beta 61.29
_cell_angle_gamma 61.29
loop_
_atom_site_label
_atom_site_type_symbol
_atom_site_fract_x
_atom_site_fract_y
_atom_site_fract_z
_atom_site_occupancy
Cr1 Cr 0.0000 0.0000 0.0000 1
Cr2 Cr 0.4956 0.4956 0.4956 1
Fe1 Fe 0.1461 0.1461 0.1461 1
Fe2 Fe 0.3506 0.3506 0.3506 1
Fe3 Fe 0.8527 0.8527 0.8527 1
Te1 Te 0.6462 0.6462 0.6462 1
P1 P 0.0568 0.4440 0.7522 1
P2 P 0.2408 0.9563 0.5474 1
P3 P 0.4440 0.7522 0.0568 1
P4 P 0.5474 0.2409 0.9563 1
P5 P 0.7522 0.0568 0.4440 1
P6 P 0.9563 0.5474 0.2408 1
O1 O 0.0013 0.3957 0.1677 1
O2 O 0.0006 0.6074 0.8153 1
O3 O 0.0703 0.2479 0.9069 1
O4 O 0.0902 0.9388 0.7470 1
O5 O 0.1039 0.5034 0.3207 1
O6 O 0.1677 0.0013 0.3957 1
O7 O 0.2479 0.9069 0.0703 1
O8 O 0.2515 0.4326 0.5941 1
O9 O 0.3207 0.1039 0.5034 1
O10 O 0.3957 0.1677 0.0013 1
O11 O 0.3967 0.7539 0.5560 1
O12 O 0.4326 0.5941 0.2515 1
O13 O 0.4733 0.6770 0.9093 1
O14 O 0.5034 0.3207 0.1039 1
O15 O 0.5560 0.3967 0.7539 1
O16 O 0.5941 0.2515 0.4326 1
O17 O 0.6074 0.8153 0.0006 1
O18 O 0.6770 0.9093 0.4733 1
O19 O 0.7470 0.0902 0.9388 1
O20 O 0.7539 0.5560 0.3967 1
O21 O 0.8153 0.0006 0.6074 1
O22 O 0.9069 0.0703 0.2479 1
O23 O 0.9093 0.4733 0.6770 1
O24 O 0.9388 0.7470 0.0902 1
```

[2]
For Ti2CrFe3P6O24, DFT lattice parameters and positions (GGA+U) gives the simulated XRD peak list in this record (copper Kα).

Most intense lines, 2θ = 10–90°, in order of rising 2θ:
d_spacing  2θ (°)  Rel. int.
4.373  20.31  71.8
3.649  24.39  100.0
2.833  31.58  15.9
2.640  33.96  55.9
2.525  35.56  38.5
1.876  48.52  26.2
1.825  49.99  22.3
1.653  55.61  23.0
1.604  57.46  19.0
1.479  62.84  18.6

Atomic structure:
```
data_Ti2CrFe3P6O24
_chemical_formula_sum 'Ti2 Cr1 Fe3 P6 O24'
_symmetry_space_group_name_H-M 'P 1'
_symmetry_Int_Tables_number 1
_symmetry_space_group_name_Hall 'P 1'
_cell_length_a 8.3288
_cell_length_b 8.3288
_cell_length_c 8.3288
_cell_angle_alpha 63.34
_cell_angle_beta 63.34
_cell_angle_gamma 63.34
loop_
_atom_site_label
_atom_site_type_symbol
_atom_site_fract_x
_atom_site_fract_y
_atom_site_fract_z
_atom_site_occupancy
Ti1 Ti 0.0000 0.0000 0.0000 1
Ti2 Ti 0.4900 0.4900 0.4900 1
Cr1 Cr 0.8539 0.8539 0.8539 1
Fe1 Fe 0.1380 0.1380 0.1380 1
Fe2 Fe 0.3488 0.3488 0.3488 1
Fe3 Fe 0.6389 0.6389 0.6389 1
P1 P 0.0382 0.7428 0.4525 1
P2 P 0.2432 0.5425 0.9438 1
P3 P 0.4525 0.0382 0.7428 1
P4 P 0.5425 0.9438 0.2432 1
P5 P 0.7428 0.4525 0.0382 1
P6 P 0.9438 0.2432 0.5425 1
O1 O 0.0524 0.8891 0.2456 1
O2 O 0.0931 0.7510 0.9275 1
O3 O 0.0939 0.3200 0.5065 1
O4 O 0.1653 0.3920 0.9826 1
O5 O 0.2447 0.5982 0.4336 1
O6 O 0.2456 0.0524 0.8891 1
O7 O 0.3200 0.5065 0.0939 1
O8 O 0.3920 0.9826 0.1653 1
O9 O 0.3934 0.5583 0.7363 1
O10 O 0.4336 0.2447 0.5982 1
O11 O 0.4930 0.8865 0.6644 1
O12 O 0.5065 0.0939 0.3200 1
O13 O 0.5583 0.7363 0.3934 1
O14 O 0.5982 0.4336 0.2447 1
O15 O 0.6046 0.9975 0.8195 1
O16 O 0.6644 0.4930 0.8865 1
O17 O 0.7363 0.3934 0.5583 1
O18 O 0.7510 0.9275 0.0931 1
O19 O 0.8195 0.6046 0.9975 1
O20 O 0.8865 0.6644 0.4930 1
O21 O 0.8891 0.2456 0.0524 1
O22 O 0.9275 0.0931 0.7510 1
O23 O 0.9826 0.1653 0.3920 1
O24 O 0.9975 0.8195 0.6046 1
```

Repeat the first record exactly.
For Cr2Fe3TeP6O24, DFT lattice parameters and positions (GGA+U) gives the simulated XRD peak list in this record (copper Kα).

Most intense lines, 2θ = 10–90°, in order of rising 2θ:
d_spacing  2θ (°)  Rel. int.
4.375  20.30  100.0
4.290  20.70  22.6
3.701  24.05  91.8
2.719  32.95  82.4
2.526  35.54  48.1
2.043  44.34  14.8
1.926  47.19  25.2
1.850  49.24  32.7
1.654  55.57  26.0
1.493  62.19  26.7

Atomic structure:
```
data_Cr2Fe3TeP6O24
_chemical_formula_sum 'Cr2 Fe3 Te1 P6 O24'
_symmetry_space_group_name_H-M 'P 1'
_symmetry_Int_Tables_number 1
_symmetry_space_group_name_Hall 'P 1'
_cell_length_a 8.5834
_cell_length_b 8.5834
_cell_length_c 8.5834
_cell_angle_alpha 61.29
_cell_angle_beta 61.29
_cell_angle_gamma 61.29
loop_
_atom_site_label
_atom_site_type_symbol
_atom_site_fract_x
_atom_site_fract_y
_atom_site_fract_z
_atom_site_occupancy
Cr1 Cr 0.0000 0.0000 0.0000 1
Cr2 Cr 0.4956 0.4956 0.4956 1
Fe1 Fe 0.1461 0.1461 0.1461 1
Fe2 Fe 0.3506 0.3506 0.3506 1
Fe3 Fe 0.8527 0.8527 0.8527 1
Te1 Te 0.6462 0.6462 0.6462 1
P1 P 0.0568 0.4440 0.7522 1
P2 P 0.2408 0.9563 0.5474 1
P3 P 0.4440 0.7522 0.0568 1
P4 P 0.5474 0.2409 0.9563 1
P5 P 0.7522 0.0568 0.4440 1
P6 P 0.9563 0.5474 0.2408 1
O1 O 0.0013 0.3957 0.1677 1
O2 O 0.0006 0.6074 0.8153 1
O3 O 0.0703 0.2479 0.9069 1
O4 O 0.0902 0.9388 0.7470 1
O5 O 0.1039 0.5034 0.3207 1
O6 O 0.1677 0.0013 0.3957 1
O7 O 0.2479 0.9069 0.0703 1
O8 O 0.2515 0.4326 0.5941 1
O9 O 0.3207 0.1039 0.5034 1
O10 O 0.3957 0.1677 0.0013 1
O11 O 0.3967 0.7539 0.5560 1
O12 O 0.4326 0.5941 0.2515 1
O13 O 0.4733 0.6770 0.9093 1
O14 O 0.5034 0.3207 0.1039 1
O15 O 0.5560 0.3967 0.7539 1
O16 O 0.5941 0.2515 0.4326 1
O17 O 0.6074 0.8153 0.0006 1
O18 O 0.6770 0.9093 0.4733 1
O19 O 0.7470 0.0902 0.9388 1
O20 O 0.7539 0.5560 0.3967 1
O21 O 0.8153 0.0006 0.6074 1
O22 O 0.9069 0.0703 0.2479 1
O23 O 0.9093 0.4733 0.6770 1
O24 O 0.9388 0.7470 0.0902 1
```

Please write out number 1 again, unchanged.
For Cr2Fe3TeP6O24, DFT lattice parameters and positions (GGA+U) gives the simulated XRD peak list in this record (copper Kα).

Most intense lines, 2θ = 10–90°, in order of rising 2θ:
d_spacing  2θ (°)  Rel. int.
4.375  20.30  100.0
4.290  20.70  22.6
3.701  24.05  91.8
2.719  32.95  82.4
2.526  35.54  48.1
2.043  44.34  14.8
1.926  47.19  25.2
1.850  49.24  32.7
1.654  55.57  26.0
1.493  62.19  26.7

Atomic structure:
```
data_Cr2Fe3TeP6O24
_chemical_formula_sum 'Cr2 Fe3 Te1 P6 O24'
_symmetry_space_group_name_H-M 'P 1'
_symmetry_Int_Tables_number 1
_symmetry_space_group_name_Hall 'P 1'
_cell_length_a 8.5834
_cell_length_b 8.5834
_cell_length_c 8.5834
_cell_angle_alpha 61.29
_cell_angle_beta 61.29
_cell_angle_gamma 61.29
loop_
_atom_site_label
_atom_site_type_symbol
_atom_site_fract_x
_atom_site_fract_y
_atom_site_fract_z
_atom_site_occupancy
Cr1 Cr 0.0000 0.0000 0.0000 1
Cr2 Cr 0.4956 0.4956 0.4956 1
Fe1 Fe 0.1461 0.1461 0.1461 1
Fe2 Fe 0.3506 0.3506 0.3506 1
Fe3 Fe 0.8527 0.8527 0.8527 1
Te1 Te 0.6462 0.6462 0.6462 1
P1 P 0.0568 0.4440 0.7522 1
P2 P 0.2408 0.9563 0.5474 1
P3 P 0.4440 0.7522 0.0568 1
P4 P 0.5474 0.2409 0.9563 1
P5 P 0.7522 0.0568 0.4440 1
P6 P 0.9563 0.5474 0.2408 1
O1 O 0.0013 0.3957 0.1677 1
O2 O 0.0006 0.6074 0.8153 1
O3 O 0.0703 0.2479 0.9069 1
O4 O 0.0902 0.9388 0.7470 1
O5 O 0.1039 0.5034 0.3207 1
O6 O 0.1677 0.0013 0.3957 1
O7 O 0.2479 0.9069 0.0703 1
O8 O 0.2515 0.4326 0.5941 1
O9 O 0.3207 0.1039 0.5034 1
O10 O 0.3957 0.1677 0.0013 1
O11 O 0.3967 0.7539 0.5560 1
O12 O 0.4326 0.5941 0.2515 1
O13 O 0.4733 0.6770 0.9093 1
O14 O 0.5034 0.3207 0.1039 1
O15 O 0.5560 0.3967 0.7539 1
O16 O 0.5941 0.2515 0.4326 1
O17 O 0.6074 0.8153 0.0006 1
O18 O 0.6770 0.9093 0.4733 1
O19 O 0.7470 0.0902 0.9388 1
O20 O 0.7539 0.5560 0.3967 1
O21 O 0.8153 0.0006 0.6074 1
O22 O 0.9069 0.0703 0.2479 1
O23 O 0.9093 0.4733 0.6770 1
O24 O 0.9388 0.7470 0.0902 1
```